Entry 1:
The following is a theoretical X-ray diffraction stick pattern of Ce2GaPIr6. It was derived from a cell relaxed with PBE, using Cu Kα.
Kinematic intensities with the Lorentz-polarization factor, no thermal factor.

Top 10 peaks for 10° ≤ 2θ ≤ 80°, low angle first:
(hkl), 2θ/deg, I_rel
0 0 1, 11.05, 40
1 0 2, 27.62, 28
0 2 2, 30.50, 61
1 2 2, 34.72, 39
2 2 0, 39.03, 100
2 0 2, 39.94, 48
0 4 0, 41.97, 54
1 2 3, 43.19, 43
2 2 2, 45.36, 38
2 4 2, 59.32, 29

Crystal structure
```
data_Ce2GaPIr6
_chemical_formula_sum 'Ce4 Ga2 P2 Ir12'
_cell_length_a 5.468
_cell_length_b 8.611
_cell_length_c 8.004
_cell_angle_alpha 90.00
_cell_angle_beta 90.00
_cell_angle_gamma 90.00
_space_group_name_H-M_alt 'P m m n'
_space_group_IT_number 59
loop_
_space_group_symop_operation_xyz
'x,y,z'
'-x,-y,-z'
'-x+1/2,-y+1/2,z'
'x+1/2,y+1/2,-z'
'x+1/2,-y,-z'
'-x+1/2,y,z'
'-x,y+1/2,-z'
'x,-y+1/2,z'
loop_
_atom_site_label
_atom_site_type_symbol
_atom_site_fract_x
_atom_site_fract_y
_atom_site_fract_z
_atom_site_occupancy
Ce1 Ce 0.250 0.013 0.223 1
Ga1 Ga 0.250 0.750 0.783 1
P1 P 0.250 0.250 0.730 1
Ir1 Ir 0.003 0.750 0.514 1
Ir2 Ir 0.005 0.750 0.043 1
Ir3 Ir 0.250 0.002 0.599 1
```


Entry 2:
The following is a theoretical X-ray diffraction stick pattern of CePmGaIr. It was derived from a cell relaxed with PBE, using Cu Kα.
Kinematic intensities with the Lorentz-polarization factor, no thermal factor.

Top 10 peaks for 10° ≤ 2θ ≤ 80°, low angle first:
(hkl), 2θ/deg, I_rel
0 0 2, 15.23, 21
0 0 4, 30.73, 37
0 1 3, 31.41, 25
1 1 1, 32.24, 100
1 0 4, 38.58, 25
1 1 3, 39.14, 69
0 2 0, 43.14, 25
2 0 0, 46.49, 20
1 1 5, 50.57, 15
0 2 4, 53.89, 15

Crystal structure
```
data_CePmGaIr
_chemical_formula_sum 'Ce2 Pm2 Ga2 Ir2'
_cell_length_a 3.907
_cell_length_b 4.194
_cell_length_c 11.638
_cell_angle_alpha 90.00
_cell_angle_beta 90.00
_cell_angle_gamma 90.00
_space_group_name_H-M_alt 'A m m 2'
_space_group_IT_number 38
loop_
_space_group_symop_operation_xyz
'x,y,z'
'-x,-y,z'
'-x,y,z'
'x,-y,z'
'x,y+1/2,z+1/2'
'-x,-y+1/2,z+1/2'
'-x,y+1/2,z+1/2'
'x,-y+1/2,z+1/2'
loop_
_atom_site_label
_atom_site_type_symbol
_atom_site_fract_x
_atom_site_fract_y
_atom_site_fract_z
_atom_site_occupancy
Ce1 Ce 0.000 0.000 0.000 1
Pm1 Pm 0.500 0.000 0.722 1
Ga1 Ga 0.000 0.000 0.303 1
Ir1 Ir 0.500 0.000 0.462 1
```


Entry 3:
The following is a theoretical X-ray diffraction stick pattern of CeYGaIr. It was derived from a cell relaxed with PBE, using Cu Kα.
Kinematic intensities with the Lorentz-polarization factor, no thermal factor.

Top 10 peaks for 10° ≤ 2θ ≤ 80°, low angle first:
(hkl), 2θ/deg, I_rel
1 0 0, 19.94, 19
0 1 1, 23.11, 19
1 1 1, 30.71, 100
0 1 3, 34.53, 29
1 1 3, 40.19, 64
2 0 0, 40.52, 30
1 0 4, 41.56, 31
0 2 0, 43.37, 24
2 2 0, 60.85, 18
1 2 4, 61.64, 19

Crystal structure
```
data_CeYGaIr
_chemical_formula_sum 'Ce2 Y2 Ga2 Ir2'
_cell_length_a 4.453
_cell_length_b 4.172
_cell_length_c 9.956
_cell_angle_alpha 90.00
_cell_angle_beta 90.00
_cell_angle_gamma 90.00
_space_group_name_H-M_alt 'A m m 2'
_space_group_IT_number 38
loop_
_space_group_symop_operation_xyz
'x,y,z'
'-x,-y,z'
'-x,y,z'
'x,-y,z'
'x,y+1/2,z+1/2'
'-x,-y+1/2,z+1/2'
'-x,y+1/2,z+1/2'
'x,-y+1/2,z+1/2'
loop_
_atom_site_label
_atom_site_type_symbol
_atom_site_fract_x
_atom_site_fract_y
_atom_site_fract_z
_atom_site_occupancy
Ce1 Ce 0.000 0.000 0.000 1
Y1 Y 0.500 0.000 0.714 1
Ga1 Ga 0.500 0.000 0.421 1
Ir1 Ir 0.000 0.000 0.274 1
```


Entry 4:
The following is a theoretical X-ray diffraction stick pattern of La3Ce4Ga4. It was derived from a cell relaxed with PBE, using Cu Kα.
Kinematic intensities with the Lorentz-polarization factor, no thermal factor.

Top 10 peaks for 10° ≤ 2θ ≤ 80°, low angle first:
(hkl), 2θ/deg, I_rel
1 0 3, 25.06, 19
1 2 1, 29.61, 84
1 1 4, 31.11, 100
1 0 5, 33.53, 22
0 3 3, 37.22, 47
2 0 0, 38.21, 38
0 2 6, 40.06, 27
1 4 1, 49.28, 22
2 3 3, 54.41, 45
1 5 4, 65.08, 15

Crystal structure
```
data_La3Ce4Ga4
_chemical_formula_sum 'La6 Ce8 Ga8'
_cell_length_a 4.711
_cell_length_b 8.099
_cell_length_c 16.242
_cell_angle_alpha 90.00
_cell_angle_beta 90.00
_cell_angle_gamma 90.00
_space_group_name_H-M_alt 'I m m m'
_space_group_IT_number 71
_space_group_name_Hall '-I 2 2'
loop_
_atom_site_label
_atom_site_type_symbol
_atom_site_fract_x
_atom_site_fract_y
_atom_site_fract_z
_atom_site_occupancy
La1 La 0.000 0.000 0.000 1
La2 La 0.000 0.500 0.115 1
Ce1 Ce 0.000 0.332 0.336 1
Ga1 Ga 0.000 0.000 0.238 1
Ga2 Ga 0.000 0.166 0.500 1
```


Entry 5:
The following is a theoretical X-ray diffraction stick pattern of LaCe2Zn2Ga2. It was derived from a cell relaxed with PBE, using Cu Kα.
Kinematic intensities with the Lorentz-polarization factor, no thermal factor.

Top 10 peaks for 10° ≤ 2θ ≤ 80°, low angle first:
(hkl), 2θ/deg, I_rel
1 0 1, 23.71, 23
0 1 5, 28.34, 14
1 0 7, 32.36, 100
0 1 8, 34.66, 46
1 1 0, 41.30, 80
0 0 15, 48.14, 15
0 2 7, 53.42, 24
1 1 15, 65.24, 25
2 1 7, 69.68, 21
0 1 20, 71.01, 17

Crystal structure
```
data_LaCe2Zn2Ga2
_chemical_formula_sum 'La3 Ce6 Zn6 Ga6'
_cell_length_a 4.3722
_cell_length_b 4.3722
_cell_length_c 28.3632
_cell_angle_alpha 90.00
_cell_angle_beta 90.00
_cell_angle_gamma 120.00
_space_group_name_H-M_alt 'R -3 m'
_space_group_IT_number 166
_space_group_name_Hall '-R 3 2"'
loop_
_atom_site_label
_atom_site_type_symbol
_atom_site_fract_x
_atom_site_fract_y
_atom_site_fract_z
_atom_site_occupancy
La1 La 0.0000 0.0000 0.0000 1
Ce1 Ce 0.0000 0.0000 0.1432 1
Zn1 Zn 0.0000 0.0000 0.4088 1
Ga1 Ga 0.0000 0.0000 0.2589 1
```


Entry 6:
The following is a theoretical X-ray diffraction stick pattern of La2CeZn2Ga2. It was derived from a cell relaxed with PBE, using Cu Kα.
Kinematic intensities with the Lorentz-polarization factor, no thermal factor.

Top 10 peaks for 10° ≤ 2θ ≤ 80°, low angle first:
(hkl), 2θ/deg, I_rel
1 0 1, 23.22, 28
1 0 7, 31.97, 100
0 1 8, 34.28, 80
1 1 0, 40.41, 91
0 0 15, 48.03, 18
0 2 7, 52.43, 24
2 0 8, 54.01, 22
1 1 15, 64.52, 43
2 1 7, 68.21, 22
1 2 8, 69.56, 20

Crystal structure
```
data_La2CeZn2Ga2
_chemical_formula_sum 'La6 Ce3 Zn6 Ga6'
_cell_length_a 4.4644
_cell_length_b 4.4644
_cell_length_c 28.4131
_cell_angle_alpha 90.00
_cell_angle_beta 90.00
_cell_angle_gamma 120.00
_space_group_name_H-M_alt 'R -3 m'
_space_group_IT_number 166
_space_group_name_Hall '-R 3 2"'
loop_
_atom_site_label
_atom_site_type_symbol
_atom_site_fract_x
_atom_site_fract_y
_atom_site_fract_z
_atom_site_occupancy
La1 La 0.0000 0.0000 0.1358 1
Ce1 Ce 0.0000 0.0000 0.0000 1
Zn1 Zn 0.0000 0.0000 0.4000 1
Ga1 Ga 0.0000 0.0000 0.2651 1
```


Entry 7:
The following is a theoretical X-ray diffraction stick pattern of LiCe2Ga12. It was derived from a cell relaxed with PBE, using Cu Kα.
Kinematic intensities with the Lorentz-polarization factor, no thermal factor.

Top 10 peaks for 10° ≤ 2θ ≤ 80°, low angle first:
(hkl), 2θ/deg, I_rel
1 1 4, 31.17, 34
2 0 2, 31.32, 100
2 0 4, 37.53, 18
1 1 6, 41.11, 38
2 2 0, 41.46, 48
2 0 6, 46.30, 14
3 1 4, 52.77, 19
4 0 0, 60.07, 13
3 1 8, 68.91, 14
4 2 2, 69.31, 15

Crystal structure
```
data_LiCe2Ga12
_chemical_formula_sum 'Li2 Ce4 Ga24'
_cell_length_a 6.160
_cell_length_b 6.160
_cell_length_c 15.255
_cell_angle_alpha 90.00
_cell_angle_beta 90.00
_cell_angle_gamma 90.00
_space_group_name_H-M_alt 'P 4/n b m'
_space_group_IT_number 125
loop_
_space_group_symop_operation_xyz
'x,y,z'
'-x,-y,-z'
'-y+1/2,x,z'
'y+1/2,-x,-z'
'-x+1/2,-y+1/2,z'
'x+1/2,y+1/2,-z'
'y,-x+1/2,z'
'-y,x+1/2,-z'
'x,-y+1/2,-z'
'-x,y+1/2,z'
'-y+1/2,-x+1/2,-z'
'y+1/2,x+1/2,z'
'-x+1/2,y,-z'
'x+1/2,-y,z'
'y,x,-z'
'-y,-x,z'
loop_
_atom_site_label
_atom_site_type_symbol
_atom_site_fract_x
_atom_site_fract_y
_atom_site_fract_z
_atom_site_occupancy
Li1 Li 0.250 0.750 0.000 1
Ce1 Ce 0.250 0.750 0.245 1
Ga1 Ga 0.000 0.000 0.086 1
Ga2 Ga 0.078 0.578 0.428 1
Ga3 Ga 0.250 0.250 0.181 1
Ga4 Ga 0.250 0.250 0.341 1
```


Entry 8:
The following is a theoretical X-ray diffraction stick pattern of Li3Ce3GaSe8. It was derived from a cell relaxed with PBE, using Cu Kα.
Kinematic intensities with the Lorentz-polarization factor, no thermal factor.

Top 10 peaks for 10° ≤ 2θ ≤ 80°, low angle first:
(hkl), 2θ/deg, I_rel
0 0 3, 13.82, 43
0 2 1, 25.30, 30
0 2 4, 31.15, 100
2 0 5, 34.23, 13
2 2 0, 43.80, 37
2 0 8, 45.47, 34
2 2 3, 46.14, 12
4 0 4, 54.72, 19
2 4 4, 72.58, 15
2 2 12, 75.02, 15

Crystal structure
```
data_Li3Ce3GaSe8
_chemical_formula_sum 'Li9 Ce9 Ga3 Se24'
_cell_length_a 8.2681
_cell_length_b 8.2681
_cell_length_c 19.2204
_cell_angle_alpha 90.00
_cell_angle_beta 90.00
_cell_angle_gamma 120.00
_space_group_name_H-M_alt 'R -3 m'
_space_group_IT_number 166
_space_group_name_Hall '-R 3 2"'
loop_
_atom_site_label
_atom_site_type_symbol
_atom_site_fract_x
_atom_site_fract_y
_atom_site_fract_z
_atom_site_occupancy
Li1 Li 0.0000 0.5000 0.0000 1
Ce1 Ce 0.0000 0.5000 0.5000 1
Ga1 Ga 0.0000 0.0000 0.5000 1
Se1 Se 0.0000 0.0000 0.2537 1
Se2 Se 0.0232 0.5116 0.2475 1
```